1.
# IrCl3
Computed powder X-ray diffraction pattern, Cu Kα (λ = 1.5418 Å). Input: the PBE geometry in the Materials Project.
Kinematic intensities with the Lorentz-polarization factor, no thermal factor.

Structure:
```
data_IrCl3
_cell_length_a 6.144
_cell_length_b 10.638
_cell_length_c 6.515
_cell_angle_alpha 90.00
_cell_angle_beta 107.74
_cell_angle_gamma 90.00
_space_group_name_H-M_alt 'C 1 2/m 1'
_space_group_IT_number 12
_space_group_name_Hall '-C 2y'
loop_
_atom_site_label
_atom_site_type_symbol
_atom_site_fract_x
_atom_site_fract_y
_atom_site_fract_z
Ir1 Ir 0.000 0.167 0.000
Cl1 Cl 0.213 0.000 0.209
Cl2 Cl 0.244 0.323 0.208
```

Main lines, most intense first (2θ = 10–90°):
two_theta	I_rel	h k l
14.27	100	0 0 1
34.93	43	1 3 1
29.44	30	1 3 0
17.29	28	1 1 0
51.54	21	0 6 0
19.29	21	1 1 -1
35.17	20	2 0 -2
44.96	17	1 3 2
16.67	16	0 2 0
49.26	15	1 3 -3
22.01	14	0 2 1
29.52	12	2 0 -1

=====

2.
# BaCaEuSbO6
Computed powder X-ray diffraction pattern, Cu Kα (λ = 1.5418 Å). Input: the PBE geometry in the Materials Project.
Kinematic intensities with the Lorentz-polarization factor, no thermal factor.

Structure:
```
data_BaCaEuSbO6
_cell_length_a 8.453
_cell_length_b 8.453
_cell_length_c 8.453
_cell_angle_alpha 90.00
_cell_angle_beta 90.00
_cell_angle_gamma 90.00
_space_group_name_H-M_alt 'F -4 3 m'
_space_group_IT_number 216
_space_group_name_Hall 'F -4 2 3'
loop_
_atom_site_label
_atom_site_type_symbol
_atom_site_fract_x
_atom_site_fract_y
_atom_site_fract_z
Ba1 Ba 0.000 0.000 0.000
Ca1 Ca 0.250 0.250 0.750
Eu1 Eu 0.000 0.000 0.500
Sb1 Sb 0.250 0.250 0.250
O1 O 0.015 0.250 0.250
```

Main lines, most intense first (2θ = 10–90°):
two_theta	I_rel	h k l
29.90	100	2 2 0
53.08	40	4 2 2
42.79	31	4 0 0
86.08	21	6 4 2
62.12	19	4 4 0
70.45	18	6 2 0
36.83	11	2 2 2
18.18	11	1 1 1
78.38	6	4 4 4
35.21	5	3 1 1
21.02	4	2 0 0
74.45	3	6 2 2

=====

3.
# CrN2
Computed powder X-ray diffraction pattern, Cu Kα (λ = 1.5418 Å). Input: the PBE geometry in the Materials Project.
Kinematic intensities with the Lorentz-polarization factor, no thermal factor.

Structure:
```
data_CrN2
_cell_length_a 10.5869
_cell_length_b 10.5869
_cell_length_c 11.0429
_cell_angle_alpha 90.00
_cell_angle_beta 90.00
_cell_angle_gamma 120.00
_space_group_name_H-M_alt 'P 63/m m c'
_space_group_IT_number 194
_space_group_name_Hall '-P 6c 2c'
loop_
_atom_site_label
_atom_site_type_symbol
_atom_site_fract_x
_atom_site_fract_y
_atom_site_fract_z
Cr1 Cr 0.1391 0.5696 0.1050
N1 N 0.0000 0.5000 0.0000
N2 N 0.0660 0.5330 0.2500
N3 N 0.2431 0.4863 0.0845
```

Main lines, most intense first (2θ = 10–90°):
two_theta	I_rel	h k l
12.55	100	1 0 1
26.09	32	1 0 3
19.36	24	2 0 0
26.97	18	2 1 1
35.30	14	3 1 0
29.22	14	3 0 0
30.35	13	3 0 1
48.68	10	3 1 4
35.58	10	2 1 3
67.10	8	4 3 3
46.68	7	4 0 3
16.05	7	0 0 2

=====

4.
# Er2Si2PbO8
Computed powder X-ray diffraction pattern, Cu Kα (λ = 1.5418 Å). Input: the PBE geometry in the Materials Project.
Kinematic intensities with the Lorentz-polarization factor, no thermal factor.

Structure:
```
data_Er2Si2PbO8
_cell_length_a 9.7682
_cell_length_b 9.7682
_cell_length_c 6.9096
_cell_angle_alpha 90.00
_cell_angle_beta 90.00
_cell_angle_gamma 120.00
_space_group_name_H-M_alt 'P 3'
_space_group_IT_number 143
_space_group_name_Hall 'P 3'
loop_
_atom_site_label
_atom_site_type_symbol
_atom_site_fract_x
_atom_site_fract_y
_atom_site_fract_z
Er1 Er 0.0088 0.2810 0.0000
Er2 Er 0.2791 0.2764 0.4947
Si1 Si 0.0101 0.6448 0.9971
Si2 Si 0.3602 0.0075 0.4985
Pb1 Pb 0.3333 0.6667 0.7017
Pb2 Pb 0.6667 0.3333 0.2426
Pb3 Pb 0.6667 0.3333 0.7541
O1 O 0.0719 0.7746 0.1752
O2 O 0.0728 0.5180 0.9925
O3 O 0.0793 0.7696 0.8140
O4 O 0.1840 0.4440 0.4948
O5 O 0.3106 0.0839 0.6810
O6 O 0.3158 0.0854 0.3141
O7 O 0.4596 0.2725 0.9984
O8 O 0.5206 0.4472 0.5034
```

Main lines, most intense first (2θ = 10–90°):
two_theta	I_rel	h k l
31.73	100	3 0 0
22.29	39	2 -1 1
27.90	33	0 1 2
30.81	32	1 2 1
21.00	26	2 0 0
48.73	26	5 -3 1
46.81	22	4 -1 2
45.48	19	4 -2 2
62.60	18	1 5 1
50.61	17	0 4 2
56.52	13	3 3 0
73.39	13	7 -4 2

=====

5.
# TbAsO2
Computed powder X-ray diffraction pattern, Cu Kα (λ = 1.5418 Å). Input: the PBE geometry in the Materials Project.
Kinematic intensities with the Lorentz-polarization factor, no thermal factor.

Structure:
```
data_TbAsO2
_cell_length_a 8.063
_cell_length_b 8.063
_cell_length_c 8.155
_cell_angle_alpha 90.00
_cell_angle_beta 90.00
_cell_angle_gamma 90.00
_space_group_name_H-M_alt 'I 41/a m d'
_space_group_IT_number 141
loop_
_space_group_symop_operation_xyz
'x,y,z'
'-x,-y,-z'
'-y+1/4,x+3/4,z+1/4'
'y+1/4,-x+3/4,-z+1/4'
'-x+1/2,-y,z+1/2'
'x+1/2,y,-z+1/2'
'y+1/4,-x+1/4,z+3/4'
'-y+1/4,x+1/4,-z+3/4'
'x,-y,-z'
'-x,y,z'
'-y+1/4,-x+1/4,-z+3/4'
'y+1/4,x+1/4,z+3/4'
'-x+1/2,y,-z+1/2'
'x+1/2,-y,z+1/2'
'y+1/4,x+3/4,-z+1/4'
'-y+1/4,-x+3/4,z+1/4'
'x+1/2,y+1/2,z+1/2'
'-x+1/2,-y+1/2,-z+1/2'
'-y+3/4,x+1/4,z+3/4'
'y+3/4,-x+1/4,-z+3/4'
'-x,-y+1/2,z'
'x,y+1/2,-z'
'y+3/4,-x+3/4,z+1/4'
'-y+3/4,x+3/4,-z+1/4'
'x+1/2,-y+1/2,-z+1/2'
'-x+1/2,y+1/2,z+1/2'
'-y+3/4,-x+3/4,-z+1/4'
'y+3/4,x+3/4,z+1/4'
'-x,y+1/2,-z'
'x,-y+1/2,z'
'y+3/4,x+1/4,-z+3/4'
'-y+3/4,-x+1/4,z+3/4'
loop_
_atom_site_label
_atom_site_type_symbol
_atom_site_fract_x
_atom_site_fract_y
_atom_site_fract_z
Tb1 Tb 0.000 0.000 0.000
As1 As 0.000 0.000 0.500
O1 O 0.000 0.090 0.738
```

Main lines, most intense first (2θ = 10–90°):
two_theta	I_rel	h k l
31.20	100	2 0 2
31.38	69	2 2 0
55.75	49	4 2 2
15.45	28	1 0 1
55.40	27	2 2 4
44.97	24	4 0 0
74.36	20	6 0 2
65.07	16	4 0 4
44.44	15	0 0 4
73.53	9	2 0 6
82.59	7	4 4 4
65.48	6	4 4 0

=====

6.
# Li2AgSn2
Computed powder X-ray diffraction pattern, Cu Kα (λ = 1.5418 Å). Input: the PBE geometry in the Materials Project.
Kinematic intensities with the Lorentz-polarization factor, no thermal factor.

Structure:
```
data_Li2AgSn2
_cell_length_a 4.615
_cell_length_b 4.615
_cell_length_c 20.374
_cell_angle_alpha 90.00
_cell_angle_beta 90.00
_cell_angle_gamma 90.00
_space_group_name_H-M_alt 'I 41/a m d'
_space_group_IT_number 141
loop_
_space_group_symop_operation_xyz
'x,y,z'
'-x,-y,-z'
'-y+1/4,x+3/4,z+1/4'
'y+1/4,-x+3/4,-z+1/4'
'-x+1/2,-y,z+1/2'
'x+1/2,y,-z+1/2'
'y+1/4,-x+1/4,z+3/4'
'-y+1/4,x+1/4,-z+3/4'
'x,-y,-z'
'-x,y,z'
'-y+1/4,-x+1/4,-z+3/4'
'y+1/4,x+1/4,z+3/4'
'-x+1/2,y,-z+1/2'
'x+1/2,-y,z+1/2'
'y+1/4,x+3/4,-z+1/4'
'-y+1/4,-x+3/4,z+1/4'
'x+1/2,y+1/2,z+1/2'
'-x+1/2,-y+1/2,-z+1/2'
'-y+3/4,x+1/4,z+3/4'
'y+3/4,-x+1/4,-z+3/4'
'-x,-y+1/2,z'
'x,y+1/2,-z'
'y+3/4,-x+3/4,z+1/4'
'-y+3/4,x+3/4,-z+1/4'
'x+1/2,-y+1/2,-z+1/2'
'-x+1/2,y+1/2,z+1/2'
'-y+3/4,-x+3/4,-z+1/4'
'y+3/4,x+3/4,z+1/4'
'-x,y+1/2,-z'
'x,-y+1/2,z'
'y+3/4,x+1/4,-z+3/4'
'-y+3/4,-x+1/4,z+3/4'
loop_
_atom_site_label
_atom_site_type_symbol
_atom_site_fract_x
_atom_site_fract_y
_atom_site_fract_z
Li1 Li 0.000 0.250 0.049
Ag1 Ag 0.000 0.250 0.875
Sn1 Sn 0.000 0.250 0.203
```

Main lines, most intense first (2θ = 10–90°):
two_theta	I_rel	h k l
23.30	100	1 0 3
38.25	62	1 1 6
45.95	33	2 1 3
39.03	30	2 0 0
70.19	21	3 1 6
44.58	17	1 0 9
60.72	14	2 1 9
68.63	10	2 0 12
56.39	10	2 2 0
75.59	8	3 2 3
61.83	7	3 0 3
81.88	6	2 2 12

=====

7.
# GdGa6
Computed powder X-ray diffraction pattern, Cu Kα (λ = 1.5418 Å). Input: the PBE geometry in the Materials Project.
Kinematic intensities with the Lorentz-polarization factor, no thermal factor.

Structure:
```
data_GdGa6
_cell_length_a 6.022
_cell_length_b 6.022
_cell_length_c 7.632
_cell_angle_alpha 90.00
_cell_angle_beta 90.00
_cell_angle_gamma 90.00
_space_group_name_H-M_alt 'P 4/n b m'
_space_group_IT_number 125
loop_
_space_group_symop_operation_xyz
'x,y,z'
'-x,-y,-z'
'-y+1/2,x,z'
'y+1/2,-x,-z'
'-x+1/2,-y+1/2,z'
'x+1/2,y+1/2,-z'
'y,-x+1/2,z'
'-y,x+1/2,-z'
'x,-y+1/2,-z'
'-x,y+1/2,z'
'-y+1/2,-x+1/2,-z'
'y+1/2,x+1/2,z'
'-x+1/2,y,-z'
'x+1/2,-y,z'
'y,x,-z'
'-y,-x,z'
loop_
_atom_site_label
_atom_site_type_symbol
_atom_site_fract_x
_atom_site_fract_y
_atom_site_fract_z
Gd1 Gd 0.250 0.750 0.000
Ga1 Ga 0.064 0.564 0.351
Ga2 Ga 0.250 0.250 0.162
```

Main lines, most intense first (2θ = 10–90°):
two_theta	I_rel	h k l
31.95	100	2 0 1
41.34	47	1 1 3
35.32	43	0 0 3
42.45	36	2 2 0
31.48	36	1 1 2
41.02	28	2 1 2
69.79	25	3 1 4
53.80	23	3 1 2
76.90	21	3 3 3
60.74	12	0 0 5
49.31	11	3 1 1
38.07	11	2 0 2

=====

8.
# Ba3SbAs
Computed powder X-ray diffraction pattern, Cu Kα (λ = 1.5418 Å). Input: the PBE geometry in the Materials Project.
Kinematic intensities with the Lorentz-polarization factor, no thermal factor.

Structure:
```
data_Ba3SbAs
_cell_length_a 6.493
_cell_length_b 6.493
_cell_length_c 6.493
_cell_angle_alpha 90.00
_cell_angle_beta 90.00
_cell_angle_gamma 90.00
_space_group_name_H-M_alt 'P m -3 m'
_space_group_IT_number 221
_space_group_name_Hall '-P 4 2 3'
loop_
_atom_site_label
_atom_site_type_symbol
_atom_site_fract_x
_atom_site_fract_y
_atom_site_fract_z
Ba1 Ba 0.000 0.000 0.500
Sb1 Sb 0.000 0.000 0.000
As1 As 0.500 0.500 0.500
```

Main lines, most intense first (2θ = 10–90°):
two_theta	I_rel	h k l
27.47	100	2 0 0
39.25	76	2 2 0
23.74	67	1 1 1
13.64	45	1 0 0
64.14	36	4 2 0
46.38	33	3 1 1
48.57	27	2 2 2
71.14	26	4 2 2
30.79	26	2 1 0
41.73	14	3 0 0
62.33	14	3 3 1
56.71	13	4 0 0